Computed X-ray diffraction stick pattern of MnPd14Pt for Cu Kα (λ = 1.5418 Å), from the GGA-PBE geometry in Alexandria.

Cell and atoms:
```
MnPd14Pt
1.0
9.1697 0.0000 0.0000
0.0000 2.7837 4.8094
0.0000 -2.7837 4.8094
Mn Pd Pt
1 14 1
direct
0.0000 0.0000 0.0000
0.0000 0.0016 0.5010
0.0000 0.5010 0.0016
0.2466 0.3313 0.8336
0.2466 0.8336 0.3313
0.2483 0.8339 0.8339
0.2498 0.3333 0.3333
0.5000 0.1654 0.1654
0.5000 0.1653 0.6661
0.5000 0.6654 0.6654
0.5000 0.6661 0.1653
0.7502 0.3333 0.3333
0.7517 0.8339 0.8339
0.7534 0.3313 0.8336
0.7534 0.8336 0.3313
0.0000 0.4999 0.4999
```

Main lines, by angle (10° ≤ 2θ ≤ 90°):
37.4°, I = 7.3
38.7°, I = 45.5
39.3°, I = 37.2
42.4°, I = 100.0
48.1°, I = 24.3
63.8°, I = 10.2
67.3°, I = 7.4
67.4°, I = 14.7
73.4°, I = 19.0
80.8°, I = 8.8
80.9°, I = 17.5
82.9°, I = 9.0

***

Computed X-ray diffraction stick pattern of MnPd2Pt4 for Cu Kα (λ = 1.5418 Å), from the GGA-PBE geometry in Alexandria.

Cell and atoms:
```
MnPd2Pt4
1.0
1.3745 -6.3414 0.0000
1.3745 6.3414 0.0000
0.0000 0.0000 12.8099
Mn Pd Pt
2 4 8
direct
0.2015 0.7985 0.7500
0.7985 0.2015 0.2500
0.3638 0.6362 0.6351
0.3638 0.6362 0.8649
0.6362 0.3638 0.1351
0.6362 0.3638 0.3649
0.0000 0.0000 0.0000
0.0000 0.0000 0.5000
0.3250 0.6750 0.0757
0.3250 0.6750 0.4243
0.4662 0.5338 0.2500
0.5338 0.4662 0.7500
0.6750 0.3250 0.5757
0.6750 0.3250 0.9243
```

Main lines, by angle (10° ≤ 2θ ≤ 90°):
31.3°, I = 56.0
33.3°, I = 23.2
35.3°, I = 40.0
36.3°, I = 33.1
37.9°, I = 50.3
39.1°, I = 53.1
40.0°, I = 54.1
41.6°, I = 100.0
42.8°, I = 34.5
43.4°, I = 24.8
49.1°, I = 24.7
54.9°, I = 30.0